This entry pairs a crystal structure of EuTh3 with its theoretical powder diffraction line list. Radiation: copper Kα. Structure: a DFT-relaxed cell (PBE, Alexandria).
Kinematic intensities with the Lorentz-polarization factor, no thermal factor.

Structure:
```
data_EuTh3
_chemical_formula_sum 'Eu2 Th6'
_space_group_name_H-M_alt 'I 4/m m m'
_space_group_IT_number 139
_space_group_name_Hall '-I 4 2'
_cell_length_a 5.0836
_cell_length_b 5.0836
_cell_length_c 10.2054
_cell_angle_alpha 90.00
_cell_angle_beta 90.00
_cell_angle_gamma 90.00
loop_
_atom_site_label
_atom_site_fract_x
_atom_site_fract_y
_atom_site_fract_z
_atom_site_occupancy
Eu1 0.0000 0.0000 0.0000 1
Th1 0.0000 0.0000 0.5000 1
Th2 0.0000 0.5000 0.2500 1
```

Principal peaks in the range 15° ≤ 2θ ≤ 90°, by intensity:
30.42 deg, I 100.0, (1 1 2); 35.31 deg, I 33.9, (2 0 0); 60.37 deg, I 29.6, (3 1 2); 50.70 deg, I 24.8, (2 0 4); 35.17 deg, I 17.1, (0 0 4); 60.19 deg, I 14.9, (1 1 6); 63.29 deg, I 12.9, (2 2 4); 82.58 deg, I 12.5, (3 1 6); 50.80 deg, I 12.3, (2 2 0); 85.36 deg, I 11.7, (4 2 0)

This entry pairs a crystal structure of PuIn3Br7 with its theoretical powder diffraction line list. Radiation: copper Kα. Structure: a DFT-relaxed cell (PBE, Alexandria).
Kinematic intensities with the Lorentz-polarization factor, no thermal factor.

Structure:
```
data_PuIn3Br7
_chemical_formula_sum 'Pu2 In6 Br14'
_space_group_name_H-M_alt 'C 1 m 1'
_space_group_IT_number 8
_cell_length_a 11.3888
_cell_length_b 10.2847
_cell_length_c 8.4360
_cell_angle_alpha 90.00
_cell_angle_beta 118.71
_cell_angle_gamma 90.00
loop_
_space_group_symop_operation_xyz
'x,y,z'
'x,-y,z'
'x+1/2,y+1/2,z'
'x+1/2,-y+1/2,z'
loop_
_atom_site_label
_atom_site_fract_x
_atom_site_fract_y
_atom_site_fract_z
_atom_site_occupancy
Pu1 0.0000 0.0000 0.0000 1
In1 0.4875 0.2789 0.5003 1
In2 0.4973 0.0000 0.9603 1
Br1 0.0032 0.5000 0.6116 1
Br2 0.1451 0.1966 0.2409 1
Br3 0.1590 0.0000 0.8298 1
Br4 0.3326 0.5000 0.1560 1
Br5 0.3514 0.3042 0.7567 1
```

Principal peaks in the range 15° ≤ 2θ ≤ 90°, by intensity:
36.44 deg, I 100.0, (2 2 -3); 21.04 deg, I 85.2, (0 2 1); 31.26 deg, I 67.7, (2 2 1); 17.76 deg, I 46.1, (2 0 0); 31.81 deg, I 45.4, (1 3 1); 32.20 deg, I 44.8, (4 0 -2); 21.98 deg, I 43.1, (2 0 -2); 34.89 deg, I 25.0, (0 4 0); 27.46 deg, I 17.6, (3 1 -2); 40.60 deg, I 16.1, (0 2 3)

This entry pairs a crystal structure of Tm4TeS3 with its theoretical powder diffraction line list. Radiation: copper Kα. Structure: a DFT-relaxed cell (PBE, Alexandria).
Kinematic intensities with the Lorentz-polarization factor, no thermal factor.

Structure:
```
data_Tm4TeS3
_chemical_formula_sum 'Tm8 Te2 S6'
_space_group_name_H-M_alt 'P 63/m m c'
_space_group_IT_number 194
_space_group_name_Hall '-P 6c 2c'
_cell_length_a 3.9111
_cell_length_b 3.9111
_cell_length_c 26.4032
_cell_angle_alpha 90.00
_cell_angle_beta 90.00
_cell_angle_gamma 120.00
loop_
_atom_site_label
_atom_site_fract_x
_atom_site_fract_y
_atom_site_fract_z
_atom_site_occupancy
Tm1 0.0000 0.0000 0.1718 1
Tm2 0.3333 0.6667 0.0616 1
Te1 0.3333 0.6667 0.2500 1
S1 0.0000 0.0000 0.0000 1
S2 0.3333 0.6667 0.6165 1
```

Principal peaks in the range 15° ≤ 2θ ≤ 90°, by intensity:
33.38 deg, I 100.0, (1 0 6); 46.41 deg, I 75.9, (1 1 0); 31.38 deg, I 64.8, (1 0 5); 27.18 deg, I 25.4, (1 0 2); 77.67 deg, I 20.9, (2 1 6); 58.39 deg, I 20.0, (2 0 6); 26.53 deg, I 18.8, (1 0 1); 86.10 deg, I 17.1, (3 0 0); 54.57 deg, I 14.8, (1 1 8); 57.12 deg, I 11.7, (2 0 5)

This entry pairs a crystal structure of Tl2In2Pb7 with its theoretical powder diffraction line list. Radiation: copper Kα. Structure: a DFT-relaxed cell (PBE, Alexandria).
Kinematic intensities with the Lorentz-polarization factor, no thermal factor.

Structure:
```
data_Tl2In2Pb7
_chemical_formula_sum 'Tl4 In4 Pb14'
_space_group_name_H-M_alt 'C 1 2/m 1'
_space_group_IT_number 12
_cell_length_a 6.2896
_cell_length_b 12.4740
_cell_length_c 9.2612
_cell_angle_alpha 90.00
_cell_angle_beta 103.69
_cell_angle_gamma 90.00
loop_
_space_group_symop_operation_xyz
'x,y,z'
'-x,-y,-z'
'-x,y,-z'
'x,-y,z'
'x+1/2,y+1/2,z'
'-x+1/2,-y+1/2,-z'
'-x+1/2,y+1/2,-z'
'x+1/2,-y+1/2,z'
loop_
_atom_site_label
_atom_site_fract_x
_atom_site_fract_y
_atom_site_fract_z
_atom_site_occupancy
Tl1 0.1176 0.0000 0.2009 1
In1 0.0000 0.2741 0.5000 1
Pb1 0.0000 0.5000 0.0000 1
Pb2 0.2200 0.2873 0.1775 1
Pb3 0.2296 0.5000 0.4116 1
```

Principal peaks in the range 15° ≤ 2θ ≤ 90°, by intensity:
28.61 deg, I 100.0, (0 4 0); 32.02 deg, I 72.5, (2 2 -1); 34.89 deg, I 66.4, (1 3 2); 37.06 deg, I 53.9, (1 3 -3); 28.19 deg, I 45.4, (1 1 2); 33.14 deg, I 41.7, (0 2 3); 30.78 deg, I 40.7, (1 1 -3); 29.79 deg, I 33.6, (0 0 3); 31.25 deg, I 27.8, (2 0 -2); 36.20 deg, I 25.6, (2 2 1)

This entry pairs a crystal structure of Rb4Dy3PuS8 with its theoretical powder diffraction line list. Radiation: copper Kα. Structure: a DFT-relaxed cell (PBE, Alexandria).
Kinematic intensities with the Lorentz-polarization factor, no thermal factor.

Structure:
```
data_Rb4Dy3PuS8
_chemical_formula_sum 'Rb12 Dy9 Pu3 S24'
_space_group_name_H-M_alt 'R -3 m'
_space_group_IT_number 166
_space_group_name_Hall '-R 3 2"'
_cell_length_a 8.2079
_cell_length_b 8.2079
_cell_length_c 23.0172
_cell_angle_alpha 90.00
_cell_angle_beta 90.00
_cell_angle_gamma 120.00
loop_
_atom_site_label
_atom_site_fract_x
_atom_site_fract_y
_atom_site_fract_z
_atom_site_occupancy
Rb1 0.0000 0.0000 0.0000 1
Rb2 0.0000 0.5000 0.0000 1
Dy1 0.0000 0.5000 0.5000 1
Pu1 0.0000 0.0000 0.5000 1
S1 0.0000 0.0000 0.2307 1
S2 0.0034 0.5017 0.7695 1
```

Principal peaks in the range 15° ≤ 2θ ≤ 90°, by intensity:
29.54 deg, I 100.0, (0 2 4); 26.24 deg, I 49.9, (2 0 2); 40.33 deg, I 36.9, (2 0 8); 44.13 deg, I 34.0, (2 2 0); 23.19 deg, I 26.1, (0 0 6); 50.44 deg, I 20.7, (2 2 6); 54.01 deg, I 17.8, (4 0 4); 47.04 deg, I 15.6, (0 2 10); 72.22 deg, I 14.9, (2 4 4); 66.76 deg, I 13.7, (2 2 12)

This entry pairs a crystal structure of Cu2Te2PbCl2O6 with its theoretical powder diffraction line list. Radiation: copper Kα. Structure: a DFT-relaxed cell (PBE, Alexandria).
Kinematic intensities with the Lorentz-polarization factor, no thermal factor.

Structure:
```
data_Cu2Te2PbCl2O6
_chemical_formula_sum 'Cu4 Te4 Pb2 Cl4 O12'
_space_group_name_H-M_alt 'P 1 21 1'
_space_group_IT_number 4
_cell_length_a 7.3483
_cell_length_b 7.3984
_cell_length_c 8.4290
_cell_angle_alpha 90.00
_cell_angle_beta 96.49
_cell_angle_gamma 90.00
loop_
_space_group_symop_operation_xyz
'x,y,z'
'-x,y+1/2,-z'
loop_
_atom_site_label
_atom_site_fract_x
_atom_site_fract_y
_atom_site_fract_z
_atom_site_occupancy
Cu1 0.1372 0.0000 0.4115 1
Cu2 0.1826 0.5184 0.9117 1
Te1 0.1476 0.1404 0.7316 1
Te2 0.3711 0.8658 0.1126 1
Pb1 0.3767 0.5169 0.4443 1
Cl1 0.0440 0.2306 0.1145 1
Cl2 0.4020 0.7570 0.7282 1
O1 0.0372 0.5606 0.4365 1
O2 0.0400 0.3782 0.7420 1
O3 0.2953 0.1652 0.5558 1
O4 0.3119 0.6159 0.1081 1
O5 0.3550 0.8825 0.3379 1
O6 0.3698 0.3302 0.8747 1
```

Principal peaks in the range 15° ≤ 2θ ≤ 90°, by intensity:
27.24 deg, I 100.0, (2 1 0); 28.24 deg, I 96.3, (2 1 -1); 30.31 deg, I 87.6, (2 1 1); 28.43 deg, I 80.5, (1 1 2); 26.34 deg, I 74.7, (0 2 1); 15.98 deg, I 72.7, (0 1 1); 24.42 deg, I 71.2, (0 1 2); 33.02 deg, I 68.5, (1 0 -3); 33.71 deg, I 59.3, (1 2 -2); 37.79 deg, I 50.5, (1 1 3)